No. 1
Structure and theoretical powder diffractogram of EuYHgPb (DFT lattice parameters and positions (GGA-PBE); CuKα).
Intensities are scaled so that the largest is 1000.

Peak list (10 most intense, 2θ = 10–80°, most intense first)
(2 2 0), 32.80°, d = 2.730 Å, I 1000; (4 2 2), 58.56°, d = 1.576 Å, I 386; (4 0 0), 47.07°, d = 1.931 Å, I 184; (6 2 0), 78.31°, d = 1.221 Å, I 169; (4 4 0), 68.77°, d = 1.365 Å, I 120; (2 0 0), 23.03°, d = 3.861 Å, I 71; (4 2 0), 53.03°, d = 1.727 Å, I 35; (2 2 2), 40.47°, d = 2.229 Å, I 24; (1 1 1), 19.91°, d = 4.458 Å, I 19; (6 0 0), 73.60°, d = 1.287 Å, I 18

Structure:
Cell: 7.7221 7.7221 7.7221 Å, 90.00 90.00 90.00°
Space group F-43m (No. 216)
Inequivalent atoms, fractional coordinates:
Eu (0.0000, 0.0000, 0.0000)
Y (0.0000, 0.0000, 0.5000)
Hg (0.2500, 0.2500, 0.2500)
Pb (0.2500, 0.2500, 0.7500)

No. 2
Structure and theoretical powder diffractogram of TbEu2Hg (DFT lattice parameters and positions (GGA-PBE); CuKα).
Intensities are scaled so that the largest is 1000.

Peak list (10 most intense, 2θ = 10–80°, most intense first)
(1 0 2), 30.51°, d = 2.930 Å, I 1000; (1 1 0), 33.34°, d = 2.687 Å, I 436; (2 1 2), 57.84°, d = 1.594 Å, I 330; (1 1 4), 52.36°, d = 1.747 Å, I 167; (2 0 0), 47.87°, d = 1.900 Å, I 159; (0 0 4), 39.17°, d = 2.300 Å, I 96; (2 0 4), 63.51°, d = 1.465 Å, I 94; (1 0 3), 37.69°, d = 2.387 Å, I 79; (3 1 0), 79.80°, d = 1.202 Å, I 73; (3 0 2), 78.28°, d = 1.221 Å, I 70

Structure:
Cell: 3.8004 3.8004 9.2001 Å, 90.00 90.00 90.00°
Space group P4/mmm (No. 123)
Inequivalent atoms, fractional coordinates:
Tb (0.0000, 0.0000, 0.0000)
Eu (0.5000, 0.5000, 0.2859)
Hg (0.0000, 0.0000, 0.5000)

No. 3
Structure and theoretical powder diffractogram of Eu2HoI (DFT lattice parameters and positions (GGA-PBE); CuKα).
Intensities are scaled so that the largest is 1000.

Peak list (10 most intense, 2θ = 10–80°, most intense first)
(1 0 2), 29.41°, d = 3.037 Å, I 1000; (1 1 0), 33.25°, d = 2.695 Å, I 370; (2 1 2), 57.06°, d = 1.614 Å, I 313; (1 1 4), 49.58°, d = 1.839 Å, I 221; (0 0 4), 35.70°, d = 2.515 Å, I 145; (2 0 0), 47.73°, d = 1.905 Å, I 134; (2 0 4), 61.01°, d = 1.519 Å, I 120; (1 0 6), 60.31°, d = 1.535 Å, I 111; (3 0 2), 77.51°, d = 1.232 Å, I 63; (3 1 0), 79.55°, d = 1.205 Å, I 61

Structure:
Cell: 3.8107 3.8107 10.0595 Å, 90.00 90.00 90.00°
Space group P4/mmm (No. 123)
Inequivalent atoms, fractional coordinates:
Eu (0.0000, 0.0000, 0.2344)
Ho (0.5000, 0.5000, 0.5000)
I (0.5000, 0.5000, 0.0000)

No. 4
Structure and theoretical powder diffractogram of TbEuHoLu (DFT lattice parameters and positions (GGA-PBE); CuKα).
Intensities are scaled so that the largest is 1000.

Peak list (5 most intense, 2θ = 10–80°, most intense first)
(2 2 0), 31.38°, d = 2.851 Å, I 1000; (4 2 2), 55.86°, d = 1.646 Å, I 394; (4 0 0), 44.97°, d = 2.016 Å, I 186; (6 2 0), 74.41°, d = 1.275 Å, I 169; (4 4 0), 65.48°, d = 1.425 Å, I 122

Structure:
Cell: 8.0638 8.0638 8.0638 Å, 90.00 90.00 90.00°
Space group F-43m (No. 216)
Inequivalent atoms, fractional coordinates:
Tb (0.0000, 0.0000, 0.0000)
Eu (0.2500, 0.2500, 0.2500)
Ho (0.0000, 0.0000, 0.5000)
Lu (0.2500, 0.2500, 0.7500)

No. 5
Structure and theoretical powder diffractogram of PrEuHoSn (DFT lattice parameters and positions (GGA-PBE); CuKα).
Intensities are scaled so that the largest is 1000.

Peak list (7 most intense, 2θ = 10–80°, most intense first)
(2 2 0), 32.33°, d = 2.769 Å, I 1000; (4 2 2), 57.66°, d = 1.599 Å, I 388; (4 0 0), 46.37°, d = 1.958 Å, I 185; (6 2 0), 77.01°, d = 1.238 Å, I 168; (4 4 0), 67.67°, d = 1.384 Å, I 120; (1 1 1), 19.63°, d = 4.522 Å, I 9; (3 1 1), 38.11°, d = 2.361 Å, I 5

Structure:
Cell: 7.8318 7.8318 7.8318 Å, 90.00 90.00 90.00°
Space group F-43m (No. 216)
Inequivalent atoms, fractional coordinates:
Pr (0.0000, 0.0000, 0.0000)
Eu (0.2500, 0.2500, 0.2500)
Ho (0.0000, 0.0000, 0.5000)
Sn (0.2500, 0.2500, 0.7500)

No. 6
Structure and theoretical powder diffractogram of Eu2HoPu (DFT lattice parameters and positions (GGA-PBE); CuKα).
Intensities are scaled so that the largest is 1000.

Peak list (10 most intense, 2θ = 10–80°, most intense first)
(1 0 4), 30.42°, d = 2.938 Å, I 1000; (0 1 8), 34.94°, d = 2.568 Å, I 696; (0 0 12), 29.30°, d = 3.049 Å, I 367; (1 1 12), 59.88°, d = 1.545 Å, I 300; (1 0 16), 49.52°, d = 1.841 Å, I 261; (1 1 0), 50.98°, d = 1.791 Å, I 240; (0 1 20), 58.58°, d = 1.576 Å, I 159; (0 2 4), 60.53°, d = 1.530 Å, I 144; (2 0 8), 63.30°, d = 1.469 Å, I 126; (0 2 16), 73.81°, d = 1.284 Å, I 81

Structure:
Cell: 3.5830 3.5830 36.5827 Å, 90.00 90.00 120.00°
Space group R-3m (No. 166, hexagonal axes)
Inequivalent atoms, fractional coordinates:
Eu (0.0000, 0.0000, 0.2503)
Ho (0.0000, 0.0000, 0.0000)
Pu (0.0000, 0.0000, 0.5000)

No. 7
Structure and theoretical powder diffractogram of EuHo3Ru (DFT lattice parameters and positions (GGA-PBE); CuKα).
Intensities are scaled so that the largest is 1000.

Peak list (10 most intense, 2θ = 10–80°, most intense first)
(1 1 1), 28.49°, d = 3.133 Å, I 1000; (2 0 0), 33.02°, d = 2.713 Å, I 985; (2 2 0), 47.39°, d = 1.918 Å, I 718; (3 1 1), 56.23°, d = 1.636 Å, I 455; (4 2 0), 78.90°, d = 1.213 Å, I 322; (2 2 2), 58.97°, d = 1.566 Å, I 249; (3 3 1), 76.53°, d = 1.245 Å, I 186; (1 0 0), 16.34°, d = 5.426 Å, I 134; (4 0 0), 69.26°, d = 1.357 Å, I 115; (1 1 0), 23.18°, d = 3.837 Å, I 78

Structure:
Cell: 5.4261 5.4261 5.4261 Å, 90.00 90.00 90.00°
Space group Pm-3m (No. 221)
Inequivalent atoms, fractional coordinates:
Eu (0.0000, 0.0000, 0.0000)
Ho (0.0000, 0.5000, 0.5000)
Ru (0.5000, 0.5000, 0.5000)

No. 8
Structure and theoretical powder diffractogram of EuI2 (DFT lattice parameters and positions (GGA-PBE); CuKα).
Intensities are scaled so that the largest is 1000.

Peak list (10 most intense, 2θ = 10–80°, most intense first)
(1 2 1), 19.35°, d = 4.587 Å, I 1000; (2 0 2), 31.36°, d = 2.853 Å, I 959; (1 6 1), 38.41°, d = 2.344 Å, I 724; (2 4 0), 32.39°, d = 2.764 Å, I 625; (1 4 1), 27.93°, d = 3.195 Å, I 621; (0 2 3), 34.76°, d = 2.581 Å, I 617; (0 4 1), 25.52°, d = 3.490 Å, I 582; (0 4 2), 31.83°, d = 2.811 Å, I 551; (2 2 1), 27.53°, d = 3.240 Å, I 504; (1 2 2), 27.04°, d = 3.297 Å, I 479

Structure:
Cell: 7.9289 15.4231 8.2164 Å, 90.00 90.00 90.00°
Space group Pbca (No. 61)
Inequivalent atoms, fractional coordinates:
Eu (0.2277, 0.1104, 0.0511)
I (0.0044, 0.0317, 0.7340)
I (0.1494, 0.7055, 0.3886)

No. 9
Structure and theoretical powder diffractogram of LaEuI (DFT lattice parameters and positions (GGA-PBE); CuKα).
Intensities are scaled so that the largest is 1000.

Peak list (10 most intense, 2θ = 10–80°, most intense first)
(1 0 1), 27.70°, d = 3.221 Å, I 1000; (0 1 2), 33.98°, d = 2.638 Å, I 564; (1 1 0), 44.57°, d = 2.033 Å, I 272; (1 1 3), 57.05°, d = 1.614 Å, I 233; (0 0 3), 33.75°, d = 2.656 Å, I 177; (0 2 1), 53.28°, d = 1.719 Å, I 161; (1 0 4), 52.81°, d = 1.734 Å, I 151; (2 1 1), 71.92°, d = 1.313 Å, I 132; (2 0 2), 57.20°, d = 1.610 Å, I 125; (1 2 2), 75.28°, d = 1.262 Å, I 111

Structure:
Cell: 4.0663 4.0663 7.9669 Å, 90.00 90.00 120.00°
Space group P3m1 (No. 156)
Inequivalent atoms, fractional coordinates:
La (0.0000, 0.0000, 0.0000)
Eu (0.3333, 0.6667, 0.6251)
I (0.6667, 0.3333, 0.3063)

No. 10
Structure and theoretical powder diffractogram of Eu4I6O (DFT lattice parameters and positions (GGA-PBE); CuKα).
Intensities are scaled so that the largest is 1000.

Peak list (10 most intense, 2θ = 10–80°, most intense first)
(2 0 2), 29.58°, d = 3.020 Å, I 1000; (2 1 1), 28.26°, d = 3.157 Å, I 936; (3 0 1), 31.58°, d = 2.833 Å, I 800; (2 2 0), 34.26°, d = 2.618 Å, I 784; (1 0 3), 34.72°, d = 2.584 Å, I 353; (3 2 3), 55.80°, d = 1.648 Å, I 345; (2 0 1), 22.47°, d = 3.957 Å, I 209; (5 0 1), 51.62°, d = 1.771 Å, I 207; (2 0 3), 38.86°, d = 2.317 Å, I 197; (3 3 0), 52.40°, d = 1.746 Å, I 195

Structure:
Cell: 10.4776 10.4776 8.0870 Å, 90.00 90.00 120.00°
Space group P6_3mc (No. 186)
Inequivalent atoms, fractional coordinates:
Eu (0.2074, 0.4147, 0.0000)
Eu (0.3333, 0.6667, 0.6124)
I (0.0722, 0.5361, 0.3062)
I (0.1367, 0.2734, 0.6258)
O (0.3333, 0.6667, 0.9070)

No. 11
Structure and theoretical powder diffractogram of EuIn8Ir2 (DFT lattice parameters and positions (GGA-PBE); CuKα).
Intensities are scaled so that the largest is 1000.

Peak list (10 most intense, 2θ = 10–80°, most intense first)
(3 3 1), 32.34°, d = 2.768 Å, I 1000; (0 0 2), 40.89°, d = 2.207 Å, I 752; (3 5 1), 39.30°, d = 2.293 Å, I 730; (1 4 1), 30.46°, d = 2.935 Å, I 712; (5 4 0), 38.84°, d = 2.318 Å, I 712; (5 2 1), 39.58°, d = 2.277 Å, I 578; (2 7 0), 40.67°, d = 2.219 Å, I 408; (2 7 2), 59.04°, d = 1.565 Å, I 309; (4 1 1), 33.05°, d = 2.710 Å, I 298; (4 0 1), 32.58°, d = 2.748 Å, I 251

Structure:
Cell: 14.0481 16.3686 4.4146 Å, 90.00 90.00 90.00°
Space group Pbam (No. 55)
Inequivalent atoms, fractional coordinates:
Eu (0.1563, 0.1798, 0.0000)
In (0.0000, 0.0000, 0.0000)
In (0.0000, 0.5000, 0.5000)
In (0.0186, 0.8660, 0.5000)
In (0.0512, 0.3151, 0.5000)
In (0.1020, 0.7471, 0.0000)
In (0.1599, 0.4563, 0.0000)
In (0.1695, 0.0123, 0.5000)
In (0.1686, 0.6234, 0.5000)
In (0.2406, 0.8215, 0.5000)
Ir (0.0342, 0.5966, 0.0000)
Ir (0.1543, 0.9040, 0.0000)

- Number 3 is which compound?
  Eu2HoI